B2Pd7Pb: computed powder diffraction line list (Cu Kα (weighted mean of Kα1 and Kα2)), based on a structure optimized by DFT (GGA-PBE).
Intensities are scaled so that the largest is 100.

Principal peaks in the range 2θ = 5–70°, by intensity:
| 2θ/deg | I/Imax |
| --- | --- |
| 35.24 | 100 |
| 33.38 | 53 |
| 44.47 | 30 |
| 44.89 | 26 |
| 45.45 | 24 |
| 41.45 | 23 |

Atomic structure:
a = 6.5571 Å, b = 6.5571 Å, c = 4.0749 Å
α = 90.00°, β = 90.00°, γ = 114.07°
Atoms (fractional coordinates):
B 0.2118 0.7882 0.0000
B 0.7882 0.2118 0.0000
Pd 0.0000 0.0000 0.0000
Pd 0.1708 0.8292 0.5000
Pd 0.1721 0.4431 0.0000
Pd 0.4431 0.1721 0.0000
Pd 0.5569 0.8279 0.0000
Pd 0.8279 0.5569 0.0000
Pd 0.8292 0.1708 0.5000
Pb 0.5000 0.5000 0.5000